This entry pairs a crystal structure of TaInBr2 with its computed XRD peak list. Radiation: CuKα. Structure: the PBE geometry in Alexandria.
Intensities are scaled so that the largest is 100.

Top 10 peaks for 10° ≤ 2θ ≤ 90°, most intense first:
(2 0 0), 2θ = 12.36°, rel. 100
(1 1 1), 2θ = 34.71°, rel. 37
(3 1 1), 2θ = 40.78°, rel. 33
(2 0 -2), 2θ = 34.04°, rel. 32
(5 1 -1), 2θ = 42.38°, rel. 32
(3 1 -1), 2θ = 35.63°, rel. 30
(6 0 0), 2θ = 37.67°, rel. 21
(2 0 -1), 2θ = 18.37°, rel. 20
(0 0 1), 2θ = 17.50°, rel. 17
(3 1 0), 2θ = 33.77°, rel. 15

Crystal structure
Cell: 14.936 3.193 5.282 Å, 90.00 106.42 90.00°
Space group C2/m (No. 12)
Symmetry-distinct sites (fractional):
Ta  0.000  0.000  0.000 x2
In  0.000  0.500  0.500 x2
Br  0.150  0.500  0.161 x4



This entry pairs a crystal structure of Pa2Ni12Ge3Ir with its computed XRD peak list. Radiation: CuKα. Structure: the PBE geometry in Alexandria.
Intensities are scaled so that the largest is 100.

Top 10 peaks for 10° ≤ 2θ ≤ 90°, most intense first:
(2 2 0), 2θ = 43.05°, rel. 100
(1 1 3), 2θ = 30.38°, rel. 82
(2 0 5), 2θ = 44.29°, rel. 44
(0 3 3), 2θ = 43.27°, rel. 32
(0 0 3), 2θ = 21.57°, rel. 22
(4 1 3), 2θ = 62.69°, rel. 22
(1 1 0), 2θ = 21.14°, rel. 20
(1 1 6), 2θ = 49.26°, rel. 18
(6 0 0), 2θ = 78.91°, rel. 16
(2 2 3), 2θ = 48.64°, rel. 16

Crystal structure
Cell: 8.4049 8.4049 12.3619 Å, 90.00 90.00 120.00°
Space group R-3m (No. 166, hexagonal axes)
Symmetry-distinct sites (fractional):
Pa  0.0000  0.0000  0.1765 x6
Ni  0.0005  0.5003  0.7964 x18
Ni  0.0013  0.5006  0.6047 x18
Ge  0.0000  0.5000  0.0000 x9
Ir  0.0000  0.0000  0.5000 x3



This entry pairs a crystal structure of Sc4InGa5 with its computed XRD peak list. Radiation: CuKα. Structure: the PBE geometry in Alexandria.
Intensities are scaled so that the largest is 100.

Top 10 peaks for 10° ≤ 2θ ≤ 90°, most intense first:
(2 3 1), 2θ = 42.55°, rel. 100
(1 3 1), 2θ = 34.13°, rel. 100
(2 0 1), 2θ = 31.29°, rel. 98
(0 0 3), 2θ = 38.40°, rel. 97
(2 0 2), 2θ = 38.51°, rel. 60
(1 3 2), 2θ = 40.92°, rel. 52
(1 1 1), 2θ = 21.17°, rel. 47
(2 2 0), 2θ = 34.29°, rel. 46
(1 2 2), 2θ = 34.80°, rel. 43
(0 1 1), 2θ = 15.66°, rel. 43

Crystal structure
Cell: 6.258 9.527 7.033 Å, 90.00 90.00 90.00°
Space group Pmmn (No. 59, origin choice 2)
Symmetry-distinct sites (fractional):
Sc  0.001  0.250  0.173 x4
Sc  0.250  0.072  0.500 x4
In  0.250  0.750  0.451 x2
Ga  0.038  0.550  0.171 x8
Ga  0.250  0.250  0.837 x2



This entry pairs a crystal structure of Na5B7C3 with its computed XRD peak list. Radiation: CuKα. Structure: the PBE geometry in Alexandria.
Intensities are scaled so that the largest is 100.

Top 10 peaks for 10° ≤ 2θ ≤ 90°, most intense first:
(1 1 -3), 2θ = 42.07°, rel. 100
(10 0 0), 2θ = 41.07°, rel. 50
(8 0 -4), 2θ = 42.31°, rel. 38
(9 1 3), 2θ = 63.54°, rel. 18
(3 1 1), 2θ = 36.16°, rel. 17
(1 1 7), 2θ = 79.33°, rel. 17
(9 1 -7), 2θ = 77.21°, rel. 13
(6 0 2), 2θ = 35.01°, rel. 11
(10 2 0), 2θ = 80.53°, rel. 10
(11 1 -3), 2θ = 56.84°, rel. 10

Crystal structure
Cell: 22.994 2.840 9.963 Å, 90.00 107.06 90.00°
Space group Cm (No. 8)
Symmetry-distinct sites (fractional):
Na  0.000  0.000  0.000 x2
Na  0.000  0.500  0.497 x2
Na  0.100  0.000  0.696 x2
Na  0.100  0.500  0.199 x2
Na  0.200  0.000  0.401 x2
Na  0.202  0.500  0.896 x2
Na  0.300  0.500  0.601 x2
Na  0.303  0.000  0.099 x2
Na  0.400  0.000  0.801 x2
Na  0.401  0.500  0.300 x2
B  0.012  0.500  0.772 x2
B  0.078  0.500  0.906 x2
B  0.081  0.000  0.411 x2
B  0.119  0.000  0.986 x2
B  0.177  0.500  0.602 x2
B  0.184  0.000  0.114 x2
B  0.218  0.000  0.683 x2
B  0.225  0.500  0.197 x2
B  0.290  0.000  0.828 x2
B  0.316  0.000  0.378 x2
B  0.382  0.000  0.513 x2
B  0.388  0.500  0.023 x2
B  0.420  0.500  0.589 x2
B  0.484  0.000  0.218 x2
C  0.016  0.000  0.282 x2
C  0.113  0.500  0.476 x2
C  0.285  0.500  0.316 x2
C  0.322  0.500  0.892 x2
C  0.419  0.000  0.087 x2
C  0.482  0.500  0.713 x2



This entry pairs a crystal structure of SrH2IrPt with its computed XRD peak list. Radiation: CuKα. Structure: the PBE geometry in Alexandria.
Intensities are scaled so that the largest is 100.

Top 10 peaks for 10° ≤ 2θ ≤ 90°, most intense first:
(0 0 1), 2θ = 17.77°, rel. 100
(1 1 -1), 2θ = 35.55°, rel. 88
(1 1 1), 2θ = 37.63°, rel. 75
(1 1 0), 2θ = 31.74°, rel. 46
(0 0 2), 2θ = 35.99°, rel. 45
(2 0 -1), 2θ = 47.05°, rel. 24
(2 0 0), 2θ = 44.98°, rel. 24
(1 1 -3), 2θ = 63.04°, rel. 21
(2 0 1), 2θ = 50.36°, rel. 20
(0 2 0), 2θ = 46.01°, rel. 18

Crystal structure
Cell: 4.048 3.946 5.013 Å, 90.00 95.27 90.00°
Space group P2 (No. 3)
Symmetry-distinct sites (fractional):
Sr  0.000  0.000  0.000 x1
H  0.367  0.271  0.661 x2
Ir  0.500  0.927  0.500 x1
Pt  0.000  0.503  0.500 x1



This entry pairs a crystal structure of Si2Ni6B with its computed XRD peak list. Radiation: CuKα. Structure: the PBE geometry in Alexandria.
Intensities are scaled so that the largest is 100.

Top 10 peaks for 10° ≤ 2θ ≤ 90°, most intense first:
(1 1 1), 2θ = 43.33°, rel. 100
(2 1 0), 2θ = 45.15°, rel. 60
(2 0 1), 2θ = 46.74°, rel. 35
(3 0 0), 2θ = 51.61°, rel. 22
(2 1 2), 2θ = 83.09°, rel. 18
(3 2 1), 2θ = 86.92°, rel. 16
(2 1 1), 2θ = 56.01°, rel. 14
(1 1 0), 2θ = 29.11°, rel. 14
(3 1 1), 2θ = 72.16°, rel. 13
(0 0 2), 2θ = 65.48°, rel. 11

Crystal structure
Cell: 6.1348 6.1348 2.8509 Å, 90.00 90.00 120.00°
Space group P-62m (No. 189)
Symmetry-distinct sites (fractional):
Si  0.3333  0.6667  0.0000 x2
Ni  0.0000  0.2449  0.0000 x3
Ni  0.0000  0.6107  0.5000 x3
B  0.0000  0.0000  0.5000 x1



This entry pairs a crystal structure of Sr6AsRh with its computed XRD peak list. Radiation: CuKα. Structure: the PBE geometry in Alexandria.
Intensities are scaled so that the largest is 100.

Top 10 peaks for 10° ≤ 2θ ≤ 90°, most intense first:
(1 0 2), 2θ = 26.00°, rel. 100
(1 1 -1), 2θ = 15.88°, rel. 75
(3 1 -5), 2θ = 40.66°, rel. 53
(0 0 2), 2θ = 15.39°, rel. 46
(1 0 -4), 2θ = 26.07°, rel. 42
(0 2 4), 2θ = 38.02°, rel. 41
(1 1 3), 2θ = 35.07°, rel. 40
(1 2 -2), 2θ = 25.69°, rel. 40
(2 1 -3), 2θ = 27.11°, rel. 39
(1 2 -3), 2θ = 29.04°, rel. 38

Crystal structure
Cell: 7.538 8.303 13.753 Å, 90.00 123.14 90.00°
Space group P2_1/c (No. 14)
Symmetry-distinct sites (fractional):
Sr  0.094  0.191  0.429 x4
Sr  0.256  0.678  0.432 x4
Sr  0.389  0.051  0.245 x4
As  0.500  0.000  0.500 x2
Rh  0.000  0.000  0.000 x2



This entry pairs a crystal structure of Mg2Sc3Cd3 with its computed XRD peak list. Radiation: CuKα. Structure: the PBE geometry in Alexandria.
Intensities are scaled so that the largest is 100.

Top 10 peaks for 10° ≤ 2θ ≤ 90°, most intense first:
(1 1 4), 2θ = 34.95°, rel. 100
(0 2 0), 2θ = 38.82°, rel. 19
(0 1 3), 2θ = 24.53°, rel. 17
(1 0 1), 2θ = 21.05°, rel. 16
(2 0 0), 2θ = 41.53°, rel. 15
(0 0 8), 2θ = 41.32°, rel. 15
(0 0 2), 2θ = 10.12°, rel. 14
(1 3 4), 2θ = 67.79°, rel. 13
(3 1 4), 2θ = 71.52°, rel. 11
(2 2 0), 2θ = 58.15°, rel. 11

Crystal structure
Cell: 4.349 4.640 17.480 Å, 90.00 90.00 90.00°
Space group Immm (No. 71)
Symmetry-distinct sites (fractional):
Mg  0.000  0.000  0.246 x4
Sc  0.000  0.000  0.000 x2
Sc  0.000  0.500  0.122 x4
Cd  0.000  0.000  0.500 x2
Cd  0.000  0.500  0.368 x4